Structure and theoretical powder diffractogram of NbC (a crystal structure in the Materials Project, relaxed with GGA-PBE; Cu Kα).
Lines closer than 0.1° are merged.

Structure:
```
NbC
1.0
3.1542 0.0000 0.0000
-1.5771 2.7316 0.0000
0.0000 0.0000 5.5820
Nb C
2 2
direct
0.0000 0.0000 0.0000
0.0000 0.0000 0.5000
0.3333 0.6667 0.2500
0.6667 0.3333 0.7500
```

Peak list (10 most intense, 10 to 80 degrees two-theta, sorted by position)
| two_theta | Rel. int. |
| --- | --- |
| 32.07 | 31 |
| 32.79 | 100 |
| 36.63 | 1 |
| 46.52 | 91 |
| 58.53 | 24 |
| 67.07 | 5 |
| 68.31 | 21 |
| 68.73 | 11 |
| 76.68 | 17 |
| 77.87 | 19 |


Structure and theoretical powder diffractogram of NbC (a crystal structure in the Materials Project, relaxed with GGA-PBE; Cu Kα).
Lines closer than 0.1° are merged.

Structure:
```
NbC
1.0
0.0000 2.4305 2.4305
2.4305 0.0000 2.4305
2.4305 2.4305 0.0000
Nb C
1 1
direct
0.0000 0.0000 0.0000
0.7500 0.7500 0.7500
```

Peak list (6 most intense, 10 to 80 degrees two-theta, sorted by position)
| two_theta | Rel. int. |
| --- | --- |
| 31.89 | 100 |
| 36.99 | 39 |
| 53.30 | 40 |
| 63.47 | 39 |
| 66.65 | 9 |
| 78.75 | 6 |


Structure and theoretical powder diffractogram of Nb3Ni3C (a crystal structure in the Materials Project, relaxed with GGA-PBE; Cu Kα).
Lines closer than 0.1° are merged.

Structure:
```
Nb3Ni3C
1.0
0.0000 5.6995 5.6995
5.6995 0.0000 5.6995
5.6995 5.6995 0.0000
Nb Ni C
12 12 4
direct
0.0706 0.0706 0.6794
0.0706 0.6794 0.0706
0.0706 0.6794 0.6794
0.3206 0.3206 0.9294
0.3206 0.9294 0.3206
0.3206 0.9294 0.9294
0.6794 0.0706 0.0706
0.6794 0.0706 0.6794
0.6794 0.6794 0.0706
0.9294 0.3206 0.3206
0.9294 0.3206 0.9294
0.9294 0.9294 0.3206
0.0000 0.5000 0.5000
0.2948 0.2948 0.2948
0.2948 0.2948 0.6156
0.2948 0.6156 0.2948
0.3844 0.7052 0.7052
0.5000 0.0000 0.5000
0.5000 0.5000 0.0000
0.5000 0.5000 0.5000
0.6156 0.2948 0.2948
0.7052 0.3844 0.7052
0.7052 0.7052 0.3844
0.7052 0.7052 0.7052
0.0000 0.0000 0.0000
0.0000 0.0000 0.5000
0.0000 0.5000 0.0000
0.5000 0.0000 0.0000
```

Peak list (10 most intense, 10 to 80 degrees two-theta, sorted by position)
| two_theta | Rel. int. |
| --- | --- |
| 34.29 | 15 |
| 38.70 | 40 |
| 41.15 | 100 |
| 44.99 | 33 |
| 47.88 | 8 |
| 57.76 | 6 |
| 62.59 | 6 |
| 67.23 | 9 |
| 70.04 | 36 |
| 71.70 | 9 |


Structure and theoretical powder diffractogram of NbRu3C (a crystal structure in the Materials Project, relaxed with GGA-PBE; Cu Kα).
Lines closer than 0.1° are merged.

Structure:
```
NbRu3C
1.0
4.0651 0.0000 0.0000
0.0000 4.0651 0.0000
0.0000 0.0000 4.0651
Nb Ru C
1 3 1
direct
0.0000 0.0000 0.0000
0.0000 0.5000 0.5000
0.5000 0.0000 0.5000
0.5000 0.5000 0.0000
0.5000 0.5000 0.5000
```

Peak list (5 most intense, 10 to 80 degrees two-theta, sorted by position)
| two_theta | Rel. int. |
| --- | --- |
| 21.86 | 1 |
| 38.35 | 100 |
| 44.58 | 54 |
| 64.88 | 34 |
| 77.95 | 36 |